Ca19Ag8N7: computed powder diffraction line list (Cu Kα X-rays), based on the PBE geometry in the Materials Project.

Cell and atoms:
```
34
Lattice="0.000 7.294 7.294 7.294 0.000 7.294 7.294 7.294 0.000" Properties=species:S:1:pos:R:3 pbc="T T T"
Ca 0.000 0.000 0.000
Ca 2.402 2.402 0.000
Ca 4.892 4.892 0.000
Ca 2.402 0.000 2.402
Ca 7.294 4.892 2.402
Ca 4.892 0.000 4.892
Ca 7.294 2.402 4.892
Ca 0.000 2.402 2.402
Ca 4.892 7.294 2.402
Ca 4.892 2.402 7.294
Ca 7.294 7.294 4.885
Ca 7.294 4.885 7.294
Ca 9.703 7.294 7.294
Ca 4.885 7.294 7.294
Ca 7.294 9.703 7.294
Ca 7.294 7.294 9.703
Ca 0.000 4.892 4.892
Ca 2.402 7.294 4.892
Ca 2.402 4.892 7.294
Ag 4.724 2.570 2.570
Ag 2.570 4.724 2.570
Ag 2.570 2.570 4.724
Ag 4.724 4.724 4.724
Ag 9.864 9.864 9.864
Ag 12.018 12.018 9.864
Ag 12.018 9.864 12.018
Ag 9.864 12.018 12.018
N 7.294 7.294 2.540
N 7.294 2.540 7.294
N 12.048 7.294 7.294
N 7.294 7.294 7.294
N 2.540 7.294 7.294
N 7.294 12.048 7.294
N 7.294 7.294 12.048
```

Peak list (12 most intense, 2θ from 10° to 90°, in order of falling intensity)
- d 2.807, rel. 100
- d 2.431, rel. 61
- d 1.719, rel. 38
- d 1.466, rel. 32
- d 7.294, rel. 24
- d 5.158, rel. 18
- d 3.347, rel. 15
- d 2.225, rel. 15
- d 1.116, rel. 12
- d 1.404, rel. 11
- d 2.466, rel. 7
- d 1.899, rel. 7


Ni2GeP: computed powder diffraction line list (Cu Kα X-rays), based on the PBE geometry in the Materials Project.

Cell and atoms:
```
32
Lattice="5.010 0.000 0.000 0.000 14.077 0.000 0.000 0.000 6.005" Properties=species:S:1:pos:R:3 pbc="T T T"
Ni 0.033 2.693 1.311
Ni 0.033 4.345 4.313
Ni 0.044 8.079 4.251
Ni 0.044 13.036 1.248
Ni 2.461 1.041 4.251
Ni 2.461 5.998 1.248
Ni 2.472 9.732 1.311
Ni 2.472 11.384 4.313
Ni 2.539 2.693 1.691
Ni 2.539 4.345 4.694
Ni 2.549 8.079 4.756
Ni 2.549 13.036 1.754
Ni 4.966 1.041 4.756
Ni 4.966 5.998 1.754
Ni 4.977 9.732 1.691
Ni 4.977 11.384 4.694
Ge 1.014 7.881 0.558
Ge 1.014 13.235 3.560
Ge 1.492 0.842 0.558
Ge 1.492 6.196 3.560
Ge 3.519 7.881 2.444
Ge 3.519 13.235 5.447
Ge 3.997 0.842 2.444
Ge 3.997 6.196 5.447
P 1.040 2.584 3.404
P 1.040 4.455 0.402
P 1.465 9.622 3.404
P 1.465 11.493 0.402
P 3.545 2.584 5.603
P 3.545 4.455 2.601
P 3.970 9.622 5.603
P 3.970 11.493 2.601
```

Peak list (12 most intense, 2θ from 10° to 90°, in order of falling intensity)
- d 1.932, rel. 100
- d 2.597, rel. 63
- d 1.740, rel. 50
- d 1.924, rel. 45
- d 2.575, rel. 35
- d 3.036, rel. 33
- d 1.760, rel. 32
- d 2.258, rel. 24
- d 1.298, rel. 19
- d 3.002, rel. 14
- d 7.039, rel. 13
- d 1.453, rel. 11


Copy entry 1 word for word.
Ca19Ag8N7: computed powder diffraction line list (Cu Kα X-rays), based on the PBE geometry in the Materials Project.

Cell and atoms:
```
34
Lattice="0.000 7.294 7.294 7.294 0.000 7.294 7.294 7.294 0.000" Properties=species:S:1:pos:R:3 pbc="T T T"
Ca 0.000 0.000 0.000
Ca 2.402 2.402 0.000
Ca 4.892 4.892 0.000
Ca 2.402 0.000 2.402
Ca 7.294 4.892 2.402
Ca 4.892 0.000 4.892
Ca 7.294 2.402 4.892
Ca 0.000 2.402 2.402
Ca 4.892 7.294 2.402
Ca 4.892 2.402 7.294
Ca 7.294 7.294 4.885
Ca 7.294 4.885 7.294
Ca 9.703 7.294 7.294
Ca 4.885 7.294 7.294
Ca 7.294 9.703 7.294
Ca 7.294 7.294 9.703
Ca 0.000 4.892 4.892
Ca 2.402 7.294 4.892
Ca 2.402 4.892 7.294
Ag 4.724 2.570 2.570
Ag 2.570 4.724 2.570
Ag 2.570 2.570 4.724
Ag 4.724 4.724 4.724
Ag 9.864 9.864 9.864
Ag 12.018 12.018 9.864
Ag 12.018 9.864 12.018
Ag 9.864 12.018 12.018
N 7.294 7.294 2.540
N 7.294 2.540 7.294
N 12.048 7.294 7.294
N 7.294 7.294 7.294
N 2.540 7.294 7.294
N 7.294 12.048 7.294
N 7.294 7.294 12.048
```

Peak list (12 most intense, 2θ from 10° to 90°, in order of falling intensity)
- d 2.807, rel. 100
- d 2.431, rel. 61
- d 1.719, rel. 38
- d 1.466, rel. 32
- d 7.294, rel. 24
- d 5.158, rel. 18
- d 3.347, rel. 15
- d 2.225, rel. 15
- d 1.116, rel. 12
- d 1.404, rel. 11
- d 2.466, rel. 7
- d 1.899, rel. 7